Entry 1:
The following is a calculated PXRD pattern of Sm2Si2O7. It was derived from a structure optimized by DFT (PBE), using Cu Kα.

Crystal structure
```
Sm2Si2O7
1.0
6.6628 0.0000 0.0000
0.0000 6.7707 0.0000
-4.0229 0.0000 12.1408
Sm Si O
8 8 28
Direct
0.0282 0.1094 0.3621 Sm
0.0282 0.3906 0.8621 Sm
0.3495 0.1753 0.1534 Sm
0.3495 0.3247 0.6534 Sm
0.6505 0.6753 0.3466 Sm
0.6505 0.8247 0.8466 Sm
0.9718 0.6094 0.1379 Sm
0.9718 0.8906 0.6379 Sm
0.2089 0.5793 0.3901 Si
0.2089 0.9207 0.8901 Si
0.3962 0.6725 0.0854 Si
0.3962 0.8275 0.5854 Si
0.6038 0.1725 0.4146 Si
0.6038 0.3275 0.9146 Si
0.7911 0.0793 0.1099 Si
0.7911 0.4207 0.6099 Si
0.0015 0.7217 0.3329 O
0.0015 0.7783 0.8329 O
0.1630 0.1057 0.9594 O
0.1630 0.3943 0.4594 O
0.2245 0.0126 0.5498 O
0.2245 0.4874 0.0498 O
0.2904 0.6706 0.6498 O
0.2904 0.8294 0.1498 O
0.2966 0.5144 0.2892 O
0.2966 0.9856 0.7892 O
0.3743 0.0914 0.3402 O
0.3743 0.4086 0.8402 O
0.4052 0.7198 0.4691 O
0.4052 0.7802 0.9691 O
0.5948 0.2198 0.0309 O
0.5948 0.2802 0.5309 O
0.6257 0.5914 0.1598 O
0.6257 0.9086 0.6598 O
0.7034 0.0144 0.2108 O
0.7034 0.4856 0.7108 O
0.7096 0.1706 0.8502 O
0.7096 0.3294 0.3502 O
0.7755 0.5126 0.9502 O
0.7755 0.9874 0.4502 O
0.8370 0.6057 0.5406 O
0.8370 0.8943 0.0406 O
0.9985 0.2217 0.1671 O
0.9985 0.2783 0.6671 O
```

Main lines, sorted by position (2θ = 10–90°):
two_theta, I (rel.)
19.20, 20
22.10, 22
25.71, 17
26.80, 38
27.36, 100
29.43, 43
29.93, 24
30.47, 32
31.34, 22
46.03, 35

Entry 2:
The following is a calculated PXRD pattern of Rh2O3. It was derived from a structure optimized by DFT (PBE), using Cu Kα.

Crystal structure
```
Rh2O3
1.0
10.1142 0.0000 0.0000
0.0000 2.7837 0.0000
0.0000 0.0000 8.3341
Rh O
8 12
Direct
0.0099 0.2500 0.1669 Rh
0.1267 0.7500 0.5130 Rh
0.3733 0.2500 0.0130 Rh
0.4901 0.7500 0.6669 Rh
0.5099 0.2500 0.3331 Rh
0.6267 0.7500 0.9870 Rh
0.8733 0.2500 0.4870 Rh
0.9901 0.7500 0.8331 Rh
0.1057 0.7500 0.0383 O
0.1128 0.2500 0.7061 O
0.1421 0.2500 0.3457 O
0.3579 0.7500 0.8457 O
0.3872 0.7500 0.2061 O
0.3943 0.2500 0.5383 O
0.6057 0.7500 0.4617 O
0.6128 0.2500 0.7939 O
0.6421 0.2500 0.1543 O
0.8579 0.7500 0.6543 O
0.8872 0.7500 0.2939 O
0.8943 0.2500 0.9617 O
```

Main lines, sorted by position (2θ = 10–90°):
two_theta, I (rel.)
17.54, 100
28.56, 95
33.45, 76
33.95, 30
38.46, 34
41.79, 42
42.97, 71
47.66, 33
55.86, 26
58.25, 22

Entry 3:
The following is a calculated PXRD pattern of LiCr2S4. It was derived from a structure optimized by DFT (PBE), using Cu Kα.

Crystal structure
```
LiCr2S4
1.0
-3.4687 3.5105 4.9266
3.4687 -3.5105 4.9266
3.4687 3.5105 -4.9266
Li Cr S
2 4 8
Direct
0.0000 0.0000 0.0000 Li
0.5000 0.0000 0.5000 Li
0.0000 0.5000 0.5000 Cr
0.5000 0.0000 0.0000 Cr
0.5000 0.5000 0.0000 Cr
0.5000 0.5000 0.5000 Cr
0.2560 0.2711 0.5151 S
0.2560 0.7409 0.9849 S
0.2562 0.7416 0.5146 S
0.2730 0.2584 0.0146 S
0.7270 0.7416 0.9854 S
0.7438 0.2584 0.4854 S
0.7440 0.2591 0.0151 S
0.7440 0.7289 0.4849 S
```

Main lines, sorted by position (2θ = 10–90°):
two_theta, I (rel.)
15.50, 41
15.62, 35
30.10, 19
36.43, 100
47.99, 10
52.11, 10
52.49, 41
52.78, 10
65.27, 10
65.86, 10

Entry 4:
The following is a calculated PXRD pattern of K2LaBr5. It was derived from a structure optimized by DFT (PBE), using Cu Kα.

Crystal structure
```
K2LaBr5
1.0
13.7253 0.0000 0.0000
0.0000 9.3669 0.0000
0.0000 0.0000 8.6547
K La Br
8 4 20
Direct
0.1711 0.0053 0.0497 K
0.1711 0.4947 0.0497 K
0.3289 0.5053 0.5497 K
0.3289 0.9947 0.5497 K
0.6711 0.0053 0.4503 K
0.6711 0.4947 0.4503 K
0.8289 0.5053 0.9503 K
0.8289 0.9947 0.9503 K
0.0056 0.2500 0.5764 La
0.4944 0.7500 0.0764 La
0.5056 0.2500 0.9236 La
0.9944 0.7500 0.4236 La
0.0072 0.2500 0.9256 Br
0.0779 0.5435 0.6652 Br
0.0779 0.9565 0.6652 Br
0.1810 0.2500 0.3728 Br
0.2053 0.7500 0.3353 Br
0.2947 0.2500 0.8353 Br
0.3190 0.7500 0.8728 Br
0.4221 0.0435 0.1652 Br
0.4221 0.4565 0.1652 Br
0.4928 0.7500 0.4256 Br
0.5072 0.2500 0.5744 Br
0.5779 0.5435 0.8348 Br
0.5779 0.9565 0.8348 Br
0.6810 0.2500 0.1272 Br
0.7053 0.7500 0.1647 Br
0.7947 0.2500 0.6647 Br
0.8190 0.7500 0.6272 Br
0.9221 0.0435 0.3348 Br
0.9221 0.4565 0.3348 Br
0.9928 0.7500 0.0744 Br
```

Main lines, sorted by position (2θ = 10–90°):
two_theta, I (rel.)
12.09, 89
12.90, 55
25.22, 57
27.97, 78
28.83, 100
31.01, 77
32.34, 65
35.08, 62
38.44, 56
39.44, 49

Entry 5:
The following is a calculated PXRD pattern of AgH4WS4N. It was derived from a structure optimized by DFT (PBE), using Cu Kα.

Crystal structure
```
AgH4WS4N
1.0
-4.0762 4.0762 2.9600
4.0762 -4.0762 2.9600
4.0762 4.0762 -2.9600
Ag H W S N
1 4 1 4 1
Direct
0.0000 0.0000 0.0000 Ag
0.0472 0.6667 0.4132 H
0.2535 0.6340 0.5868 H
0.3333 0.7465 0.3805 H
0.3660 0.9528 0.6195 H
0.5000 0.5000 0.0000 W
0.0993 0.4153 0.9232 S
0.4921 0.1761 0.0768 S
0.5847 0.5079 0.6840 S
0.8239 0.9007 0.3160 S
0.2500 0.7500 0.5000 N
```

Main lines, sorted by position (2θ = 10–90°):
two_theta, I (rel.)
15.37, 100
21.80, 33
28.76, 14
31.03, 18
34.05, 25
34.80, 16
37.55, 24
43.84, 13
46.73, 32
50.04, 13

Entry 6:
The following is a calculated PXRD pattern of MnTlCuSe2. It was derived from a structure optimized by DFT (PBE), using Cu Kα.

Crystal structure
```
MnTlCuSe2
1.0
-2.0123 2.0123 7.1583
2.0123 -2.0123 7.1583
2.0123 2.0123 -7.1583
Mn Tl Cu Se
1 1 1 2
Direct
0.0000 0.0000 0.0000 Mn
0.2500 0.7500 0.5000 Tl
0.5000 0.5000 0.0000 Cu
0.6085 0.1085 0.5000 Se
0.8915 0.3915 0.5000 Se
```

Main lines, sorted by position (2θ = 10–90°):
two_theta, I (rel.)
22.95, 14
29.02, 100
31.44, 19
33.90, 49
38.59, 23
45.05, 30
49.87, 33
54.49, 34
70.41, 13
86.71, 13

Entry 7:
The following is a calculated PXRD pattern of CdN. It was derived from a structure optimized by DFT (PBE), using Cu Kα.

Crystal structure
```
CdN
1.0
3.3389 0.0000 0.0000
-1.6695 2.8916 0.0000
0.0000 0.0000 2.9754
Cd N
1 1
Direct
0.0000 0.0000 0.0000 Cd
0.3333 0.6667 0.5000 N
```

Main lines, sorted by position (2θ = 10–90°):
two_theta, I (rel.)
30.03, 31
30.92, 100
43.65, 95
55.00, 25
63.94, 21
64.45, 12
71.29, 17
72.72, 19
87.91, 13
89.72, 10

Entry 8:
The following is a calculated PXRD pattern of Rb2CaH4. It was derived from a structure optimized by DFT (PBE), using Cu Kα.

Crystal structure
```
Rb2CaH4
1.0
-2.2566 2.2566 7.4200
2.2566 -2.2566 7.4200
2.2566 2.2566 -7.4200
Rb Ca H
2 1 4
Direct
0.1480 0.1480 0.0000 Rb
0.8520 0.8520 0.0000 Rb
0.5000 0.5000 0.0000 Ca
0.0000 0.5000 0.5000 H
0.3445 0.3445 0.0000 H
0.5000 0.0000 0.5000 H
0.6555 0.6555 0.0000 H
```

Main lines, sorted by position (2θ = 10–90°):
two_theta, I (rel.)
20.57, 15
26.74, 100
27.96, 51
36.30, 12
37.16, 12
39.95, 20
46.45, 16
48.73, 37
55.08, 11
78.89, 9